K3AuSe13: calculated powder diffraction line list (Cu Kα), based on the PBE geometry in the Materials Project.
Neutral-atom scattering factors, no anomalous dispersion.

Largest 6 diffraction maxima, by angle, 2θ from 10° to 90°:
hkl, d_spacing, 2theta, Rel. int.
0 0 2, 6.929, 12.8, 29
1 1 -1, 4.605, 19.3, 33
3 1 -2, 3.274, 27.2, 100
3 0 4, 2.769, 32.3, 67
6 0 -4, 2.134, 42.4, 35
0 1 6, 2.104, 43.0, 29

Cell and atoms:
```
data_K3AuSe13
_chemical_formula_sum 'K6 Au2 Se26'
_space_group_name_H-M_alt 'P 1 2/c 1'
_space_group_IT_number 13
_cell_length_a 15.3460
_cell_length_b 5.1022
_cell_length_c 13.8996
_cell_angle_alpha 90.00
_cell_angle_beta 94.43
_cell_angle_gamma 90.00
loop_
_space_group_symop_operation_xyz
'x,y,z'
'-x,-y,-z'
'-x,y,-z+1/2'
'x,-y,z+1/2'
loop_
_atom_site_label
_atom_site_fract_x
_atom_site_fract_y
_atom_site_fract_z
_atom_site_occupancy
K1 0.0000 0.1628 0.2500 1
K2 0.2782 0.2014 0.1639 1
Au1 0.5000 0.0000 0.0000 1
Se1 0.0734 0.3188 0.5792 1
Se2 0.1504 0.0765 0.4651 1
Se3 0.1512 0.3074 0.7333 1
Se4 0.2687 0.3550 0.4231 1
Se5 0.3803 0.2979 0.5506 1
Se6 0.4130 0.0973 0.8422 1
Se7 0.5000 0.3714 0.7500 1
```

GaS2NO8: calculated powder diffraction line list (Cu Kα), based on the PBE geometry in the Materials Project.
Neutral-atom scattering factors, no anomalous dispersion.

Largest 6 diffraction maxima, by angle, 2θ from 10° to 90°:
hkl, d_spacing, 2theta, Rel. int.
0 0 1, 8.534, 10.4, 100
0 1 1, 3.785, 23.5, 91
0 1 2, 3.002, 29.8, 49
1 1 0, 2.438, 36.9, 25
0 2 2, 1.892, 48.1, 14
1 2 2, 1.495, 62.1, 11

Cell and atoms:
```
data_GaS2NO8
_chemical_formula_sum 'Ga1 S2 N1 O8'
_space_group_name_H-M_alt 'P 3 2 1'
_space_group_IT_number 150
_cell_length_a 4.8761
_cell_length_b 4.8761
_cell_length_c 8.5341
_cell_angle_alpha 90.00
_cell_angle_beta 90.00
_cell_angle_gamma 120.00
loop_
_space_group_symop_operation_xyz
'x,y,z'
'-y,x-y,z'
'-x+y,-x,z'
'y,x,-z'
'x-y,-y,-z'
'-x,-x+y,-z'
loop_
_atom_site_label
_atom_site_fract_x
_atom_site_fract_y
_atom_site_fract_z
_atom_site_occupancy
Ga1 0.0000 0.0000 0.0000 1
S1 0.3333 0.6667 0.2051 1
N1 0.0000 0.0000 0.5000 1
O1 0.0820 0.3523 0.1446 1
O2 0.3333 0.6667 0.3752 1
```

BaCO4: calculated powder diffraction line list (Cu Kα), based on the PBE geometry in the Materials Project.
Neutral-atom scattering factors, no anomalous dispersion.

Largest 6 diffraction maxima, by angle, 2θ from 10° to 90°:
hkl, d_spacing, 2theta, Rel. int.
1 1 1, 3.877, 22.9, 61
2 1 0, 3.422, 26.0, 81
1 0 2, 3.310, 26.9, 64
2 1 1, 3.086, 28.9, 86
1 1 3, 2.116, 42.7, 61
1 2 2, 2.095, 43.2, 100

Cell and atoms:
```
data_BaCO4
_chemical_formula_sum 'Ba4 C4 O16'
_space_group_name_H-M_alt 'P n m a'
_space_group_IT_number 62
_cell_length_a 8.8299
_cell_length_b 5.4169
_cell_length_c 7.1417
_cell_angle_alpha 90.00
_cell_angle_beta 90.00
_cell_angle_gamma 90.00
loop_
_space_group_symop_operation_xyz
'x,y,z'
'-x,-y,-z'
'-x+1/2,-y,z+1/2'
'x+1/2,y,-z+1/2'
'x+1/2,-y+1/2,-z+1/2'
'-x+1/2,y+1/2,z+1/2'
'-x,y+1/2,-z'
'x,-y+1/2,z'
loop_
_atom_site_label
_atom_site_fract_x
_atom_site_fract_y
_atom_site_fract_z
_atom_site_occupancy
Ba1 0.1859 0.2500 0.1581 1
C1 0.0604 0.2500 0.7017 1
O1 0.0796 0.0393 0.8075 1
O2 0.0844 0.7500 0.3716 1
O3 0.1618 0.2500 0.5547 1
```

Ta3AlC2: calculated powder diffraction line list (Cu Kα), based on the PBE geometry in the Materials Project.
Neutral-atom scattering factors, no anomalous dispersion.

Largest 6 diffraction maxima, by angle, 2θ from 10° to 90°:
hkl, d_spacing, 2theta, Rel. int.
1 0 1, 2.664, 33.6, 49
0 0 8, 2.409, 37.3, 32
1 0 4, 2.349, 38.3, 100
1 0 5, 2.206, 40.9, 47
1 1 0, 1.553, 59.5, 32
1 1 8, 1.305, 72.4, 28

Cell and atoms:
```
data_Ta3AlC2
_chemical_formula_sum 'Ta6 Al2 C4'
_space_group_name_H-M_alt 'P 63/m m c'
_space_group_IT_number 194
_space_group_name_Hall '-P 6c 2c'
_cell_length_a 3.1060
_cell_length_b 3.1060
_cell_length_c 19.2683
_cell_angle_alpha 90.00
_cell_angle_beta 90.00
_cell_angle_gamma 120.00
loop_
_atom_site_label
_atom_site_fract_x
_atom_site_fract_y
_atom_site_fract_z
_atom_site_occupancy
Ta1 0.0000 0.0000 0.0000 1
Ta2 0.3333 0.6667 0.1341 1
Al1 0.0000 0.0000 0.2500 1
C1 0.3333 0.6667 0.5683 1
```

Cr4InCuS8: calculated powder diffraction line list (Cu Kα), based on the PBE geometry in the Materials Project.
Neutral-atom scattering factors, no anomalous dispersion.

Largest 6 diffraction maxima, by angle, 2θ from 10° to 90°:
hkl, d_spacing, 2theta, Rel. int.
1 1 0, 3.560, 25.0, 38
0 1 5, 3.090, 28.9, 46
1 1 3, 3.055, 29.2, 100
0 2 4, 2.537, 35.4, 73
2 0 8, 1.808, 50.5, 58
2 2 0, 1.780, 51.3, 60

Cell and atoms:
```
data_Cr4InCuS8
_chemical_formula_sum 'Cr12 In3 Cu3 S24'
_space_group_name_H-M_alt 'R 3 m'
_space_group_IT_number 160
_space_group_name_Hall 'R 3 -2"'
_cell_length_a 7.1210
_cell_length_b 7.1210
_cell_length_c 17.8489
_cell_angle_alpha 90.00
_cell_angle_beta 90.00
_cell_angle_gamma 120.00
loop_
_atom_site_label
_atom_site_fract_x
_atom_site_fract_y
_atom_site_fract_z
_atom_site_occupancy
Cr1 0.0000 0.0000 0.0000 1
Cr2 0.1708 0.3416 0.2052 1
In1 0.0000 0.0000 0.3756 1
Cu1 0.0000 0.0000 0.7468 1
S1 0.0000 0.0000 0.1320 1
S2 0.0000 0.0000 0.6139 1
S3 0.0084 0.5042 0.1319 1
S4 0.1714 0.3428 0.9463 1
```